This entry pairs a crystal structure of ErMn10Be2 with its computed X-ray diffraction stick pattern. Radiation: Cu Kα (λ = 1.5418 Å). Structure: DFT lattice parameters and positions (PBE).
Intensities are scaled so that the largest is 100.

Structure:
Cell: 8.215 9.313 7.922 Å, 90.00 90.00 90.00°
Space group Cmcm (No. 63)
Unique sites:
Er  0.000  0.126  0.250 x4
Mn  0.000  0.168  0.598 x8
Mn  0.000  0.394  0.069 x8
Mn  0.133  0.380  0.750 x8
Mn  0.224  0.000  0.000 x8
Mn  0.246  0.373  0.250 x8
Be  0.250  0.250  0.000 x8

Largest 10 diffraction maxima, in order of falling intensity, 10 to 90 degrees two-theta:
- hkl 2 2 3, 2θ = 45.2°, I = 100
- hkl 4 0 0, 2θ = 44.1°, I = 37
- hkl 3 1 2, 2θ = 41.2°, I = 33
- hkl 0 2 3, 2θ = 39.2°, I = 33
- hkl 2 2 1, 2θ = 31.2°, I = 25
- hkl 0 4 0, 2θ = 38.7°, I = 23
- hkl 6 2 3, 2θ = 81.9°, I = 20
- hkl 2 4 0, 2θ = 44.7°, I = 17
- hkl 3 3 1, 2θ = 45.6°, I = 16
- hkl 3 1 1, 2θ = 36.0°, I = 13



This entry pairs a crystal structure of Pr2P2AuO with its computed X-ray diffraction stick pattern. Radiation: Cu Kα (λ = 1.5418 Å). Structure: DFT lattice parameters and positions (PBE).
Intensities are scaled so that the largest is 100.

Structure:
Cell: 15.333 4.260 10.035 Å, 90.00 130.50 90.00°
Space group C2/m (No. 12)
Unique sites:
Pr  0.132  0.000  0.453 x4
Pr  0.173  0.000  0.115 x4
P  0.048  0.500  0.144 x4
P  0.147  0.000  0.766 x4
Au  0.088  0.500  0.801 x4
O  0.222  0.500  0.574 x4

Largest 10 diffraction maxima, in order of falling intensity, 10 to 90 degrees two-theta:
- hkl 1 1 1, 2θ = 27.4°, I = 100
- hkl 1 1 -2, 2θ = 28.5°, I = 80
- hkl 5 1 -3, 2θ = 37.6°, I = 66
- hkl 2 0 -3, 2θ = 27.7°, I = 53
- hkl 0 2 0, 2θ = 42.4°, I = 51
- hkl 3 1 0, 2θ = 31.2°, I = 50
- hkl 0 0 3, 2θ = 35.3°, I = 33
- hkl 4 0 0, 2θ = 30.7°, I = 33
- hkl 6 0 -2, 2θ = 35.7°, I = 29
- hkl 2 0 -2, 2θ = 17.7°, I = 29



This entry pairs a crystal structure of Rb2Cd5Au2 with its computed X-ray diffraction stick pattern. Radiation: Cu Kα (λ = 1.5418 Å). Structure: DFT lattice parameters and positions (PBE).
Intensities are scaled so that the largest is 100.

Structure:
Cell: 5.383 5.383 11.251 Å, 90.00 90.00 90.00°
Space group P4/mmm (No. 123)
Unique sites:
Rb  0.000  0.000  0.000 x1
Rb  0.000  0.000  0.500 x1
Cd  0.000  0.500  0.249 x4
Cd  0.500  0.500  0.500 x1
Au  0.500  0.500  0.255 x2

Largest 10 diffraction maxima, in order of falling intensity, 10 to 90 degrees two-theta:
- hkl 2 0 0, 2θ = 33.3°, I = 100
- hkl 1 0 2, 2θ = 22.9°, I = 80
- hkl 2 0 4, 2θ = 46.7°, I = 76
- hkl 0 0 2, 2θ = 15.8°, I = 73
- hkl 0 0 4, 2θ = 31.8°, I = 56
- hkl 1 0 0, 2θ = 16.5°, I = 46
- hkl 2 2 4, 2θ = 58.6°, I = 38
- hkl 2 0 2, 2θ = 37.0°, I = 37
- hkl 2 1 2, 2θ = 40.8°, I = 36
- hkl 2 2 0, 2θ = 47.8°, I = 36



This entry pairs a crystal structure of RbPm2F6 with its computed X-ray diffraction stick pattern. Radiation: Cu Kα (λ = 1.5418 Å). Structure: DFT lattice parameters and positions (PBE).
Intensities are scaled so that the largest is 100.

Structure:
Cell: 4.132 4.132 19.017 Å, 90.00 90.00 90.00°
Space group I4/mmm (No. 139)
Unique sites:
Rb  0.000  0.000  0.000 x2
Pm  0.000  0.000  0.333 x4
F  0.000  0.500  0.113 x8
F  0.000  0.500  0.250 x4

Largest 10 diffraction maxima, in order of falling intensity, 10 to 90 degrees two-theta:
- hkl 1 0 3, 2θ = 25.7°, I = 100
- hkl 1 1 6, 2θ = 42.1°, I = 38
- hkl 2 1 3, 2θ = 51.5°, I = 30
- hkl 2 0 0, 2θ = 43.8°, I = 20
- hkl 1 0 9, 2θ = 48.4°, I = 18
- hkl 1 1 0, 2θ = 30.6°, I = 15
- hkl 2 1 9, 2θ = 67.3°, I = 13
- hkl 0 0 6, 2θ = 28.2°, I = 13
- hkl 3 1 6, 2θ = 79.3°, I = 11
- hkl 2 0 6, 2θ = 52.9°, I = 9



This entry pairs a crystal structure of Pr2Dy4Y2Er with its computed X-ray diffraction stick pattern. Radiation: Cu Kα (λ = 1.5418 Å). Structure: DFT lattice parameters and positions (PBE).
Intensities are scaled so that the largest is 100.

Structure:
Cell: 18.755 3.617 9.605 Å, 90.00 115.70 90.00°
Space group C2/m (No. 12)
Unique sites:
Pr  0.165  0.000  0.000 x4
Dy  0.019  0.000  0.334 x4
Dy  0.185  0.500  0.336 x4
Y  0.146  0.500  0.662 x4
Er  0.000  0.500  0.000 x2

Largest 10 diffraction maxima, in order of falling intensity, 10 to 90 degrees two-theta:
- hkl 3 1 -2, 2θ = 31.7°, I = 100
- hkl 3 1 1, 2θ = 33.4°, I = 91
- hkl 0 0 3, 2θ = 31.0°, I = 50
- hkl 0 2 3, 2θ = 60.5°, I = 45
- hkl 6 0 -1, 2θ = 28.7°, I = 40
- hkl 0 2 0, 2θ = 50.5°, I = 38
- hkl 3 1 -5, 2θ = 54.5°, I = 21
- hkl 3 1 4, 2θ = 57.8°, I = 20
- hkl 0 2 6, 2θ = 86.3°, I = 17
- hkl 12 0 -1, 2θ = 61.9°, I = 15



This entry pairs a crystal structure of Cs5Cl4 with its computed X-ray diffraction stick pattern. Radiation: Cu Kα (λ = 1.5418 Å). Structure: DFT lattice parameters and positions (PBE).
Intensities are scaled so that the largest is 100.

Structure:
Cell: 11.309 11.309 7.108 Å, 90.00 90.00 90.00°
Space group I4/m (No. 87)
Unique sites:
Cs  0.000  0.000  0.000 x2
Cs  0.104  0.694  0.500 x8
Cl  0.102  0.700  0.000 x8

Largest 10 diffraction maxima, in order of falling intensity, 10 to 90 degrees two-theta:
- hkl 1 2 1, 2θ = 21.6°, I = 100
- hkl 3 1 0, 2θ = 24.9°, I = 91
- hkl 3 1 2, 2θ = 35.6°, I = 69
- hkl 0 0 2, 2θ = 25.1°, I = 45
- hkl 2 4 2, 2θ = 43.9°, I = 37
- hkl 5 0 1, 2θ = 41.9°, I = 36
- hkl 2 4 0, 2θ = 35.5°, I = 35
- hkl 6 2 2, 2θ = 57.7°, I = 32
- hkl 5 5 2, 2θ = 63.8°, I = 24
- hkl 1 2 3, 2θ = 42.1°, I = 18



This entry pairs a crystal structure of Pm3TmC8 with its computed X-ray diffraction stick pattern. Radiation: Cu Kα (λ = 1.5418 Å). Structure: DFT lattice parameters and positions (PBE).
Intensities are scaled so that the largest is 100.

Structure:
Cell: 7.197 7.197 7.590 Å, 90.00 90.00 90.00°
Space group I-42m (No. 121)
Unique sites:
Pm  0.000  0.000  0.000 x2
Pm  0.000  0.500  0.250 x4
Tm  0.000  0.000  0.500 x2
C  0.159  0.159  0.281 x8
C  0.236  0.236  0.876 x8

Largest 10 diffraction maxima, in order of falling intensity, 10 to 90 degrees two-theta:
- hkl 1 1 2, 2θ = 29.4°, I = 100
- hkl 2 0 0, 2θ = 24.7°, I = 63
- hkl 3 1 2, 2θ = 46.5°, I = 62
- hkl 2 2 0, 2θ = 35.3°, I = 37
- hkl 4 2 4, 2θ = 77.8°, I = 21
- hkl 2 0 4, 2θ = 54.7°, I = 20
- hkl 5 1 2, 2θ = 71.3°, I = 16
- hkl 4 2 0, 2θ = 57.2°, I = 15
- hkl 3 3 2, 2θ = 59.7°, I = 13
- hkl 2 2 4, 2θ = 60.9°, I = 12



This entry pairs a crystal structure of BaH5Os with its computed X-ray diffraction stick pattern. Radiation: Cu Kα (λ = 1.5418 Å). Structure: DFT lattice parameters and positions (PBE).
Intensities are scaled so that the largest is 100.

Structure:
Cell: 6.571 8.326 3.675 Å, 90.00 90.00 90.00°
Space group Imm2 (No. 44)
Unique sites:
Ba  0.000  0.000  0.000 x2
H  0.000  0.296  0.001 x4
H  0.000  0.500  0.500 x2
H  0.244  0.000  0.500 x4
Os  0.000  0.500  0.000 x2

Largest 10 diffraction maxima, in order of falling intensity, 10 to 90 degrees two-theta:
- hkl 1 2 1, 2θ = 35.3°, I = 100
- hkl 1 0 1, 2θ = 27.8°, I = 97
- hkl 0 2 0, 2θ = 21.3°, I = 93
- hkl 2 2 0, 2θ = 34.8°, I = 52
- hkl 2 0 0, 2θ = 27.1°, I = 52
- hkl 1 4 1, 2θ = 52.4°, I = 33
- hkl 3 2 1, 2θ = 53.4°, I = 31
- hkl 3 0 1, 2θ = 48.4°, I = 21
- hkl 2 2 2, 2θ = 62.0°, I = 20
- hkl 2 4 0, 2θ = 52.0°, I = 17